Entry 1:
Structure and theoretical PXRD pattern of Sm3Cu2Pt6 (a structure optimized by DFT (GGA-PBE); CuKα).

Crystal structure
```
Sm3Cu2Pt6
1.0
-4.776 4.776 4.776
4.776 -4.776 4.776
4.776 4.776 -4.776
Sm Cu Pt
6 4 12
Cartesian
2.863 0.000 0.000
6.689 0.000 0.000
0.000 2.863 0.000
0.000 0.000 2.863
0.000 6.689 0.000
0.000 0.000 6.689
2.388 2.388 -2.388
2.388 -2.388 2.388
-2.388 2.388 2.388
2.388 2.388 2.388
4.776 1.620 -1.620
4.776 -1.620 1.620
1.620 4.776 -1.620
3.155 3.155 0.000
3.155 0.000 3.155
1.620 -1.620 4.776
4.776 1.620 1.620
0.000 3.155 3.155
-1.620 4.776 1.620
-1.620 1.620 4.776
1.620 4.776 1.620
1.620 1.620 4.776
```

Peak list (8 most intense, 2θ = 15–90°, by angle)
| 2θ (°) | Rel. int. |
| --- | --- |
| 29.57 | 10 |
| 35.16 | 26 |
| 40.05 | 100 |
| 42.32 | 8 |
| 57.93 | 13 |
| 59.67 | 13 |
| 72.76 | 31 |
| 86.45 | 11 |

=====

Entry 2:
Structure and theoretical PXRD pattern of RbCdHg14 (a structure optimized by DFT (GGA-PBE); CuKα).

Crystal structure
```
RbCdHg14
1.0
9.671 0.000 0.000
4.494 10.037 0.000
4.395 -0.162 10.103
Rb Cd Hg
2 2 28
Cartesian
4.650 3.677 1.386
13.910 6.198 8.717
0.000 0.000 0.000
9.280 4.938 5.052
7.707 6.635 9.784
3.329 0.926 5.366
7.754 8.644 7.455
6.541 6.189 5.779
5.459 1.510 7.619
5.485 3.349 5.026
7.487 3.933 7.887
6.261 7.235 0.956
3.786 0.019 1.564
8.269 7.438 3.397
11.640 9.151 8.811
10.416 7.547 6.324
10.376 9.704 4.043
10.416 5.212 8.344
8.145 4.663 1.760
8.184 0.172 6.060
8.145 2.329 3.779
6.920 0.725 1.293
10.291 2.438 6.706
14.774 9.856 8.539
12.299 2.640 9.147
11.073 5.942 2.216
13.076 6.526 5.077
13.101 8.365 2.485
12.019 3.687 4.324
10.806 1.231 2.648
15.231 8.950 4.738
10.853 3.240 0.320
```

Peak list (8 most intense, 2θ = 15–90°, by angle)
| 2θ (°) | Rel. int. |
| --- | --- |
| 30.49 | 52 |
| 30.58 | 24 |
| 31.76 | 26 |
| 32.22 | 100 |
| 35.16 | 39 |
| 35.21 | 45 |
| 37.67 | 28 |
| 37.98 | 27 |

=====

Entry 3:
Structure and theoretical PXRD pattern of La8As3SI4 (a structure optimized by DFT (GGA-PBE); CuKα).

Crystal structure
```
La8As3SI4
1.0
4.371 2.524 7.748
-4.371 2.524 7.748
0.000 -5.047 7.748
La As S I
8 3 1 4
Cartesian
0.000 0.000 5.425
-2.100 -1.213 13.141
0.000 -2.425 10.102
-2.100 1.213 10.102
2.100 -1.213 13.141
0.000 2.425 13.141
2.100 1.213 10.102
0.000 0.000 17.818
-4.371 0.000 11.621
-2.186 1.262 3.874
2.186 1.262 3.874
0.000 0.000 11.621
0.000 0.000 0.000
-2.186 -1.262 7.748
-2.186 1.262 15.495
0.000 2.524 7.748
```

Peak list (8 most intense, 2θ = 15–90°, by angle)
| 2θ (°) | Rel. int. |
| --- | --- |
| 28.13 | 100 |
| 30.45 | 17 |
| 39.08 | 28 |
| 41.31 | 39 |
| 50.73 | 19 |
| 55.04 | 13 |
| 58.17 | 9 |
| 67.41 | 16 |

=====

Entry 4:
Structure and theoretical PXRD pattern of Pr2DyY9 (a structure optimized by DFT (GGA-PBE); CuKα).

Crystal structure
```
Pr2DyY9
1.0
5.083 0.000 0.000
0.000 5.083 0.000
0.000 0.000 15.241
Pr Dy Y
2 1 9
Cartesian
0.000 0.000 2.549
0.000 0.000 12.692
0.000 0.000 7.621
0.000 2.541 0.000
0.000 2.541 5.118
0.000 2.541 10.123
2.541 0.000 0.000
2.541 0.000 5.118
2.541 0.000 10.123
2.541 2.541 2.564
2.541 2.541 7.621
2.541 2.541 12.678
```

Peak list (8 most intense, 2θ = 15–90°, by angle)
| 2θ (°) | Rel. int. |
| --- | --- |
| 30.47 | 100 |
| 35.32 | 50 |
| 50.82 | 35 |
| 60.41 | 41 |
| 63.40 | 12 |
| 74.72 | 5 |
| 82.79 | 16 |
| 85.44 | 15 |

=====

Entry 5:
Structure and theoretical PXRD pattern of AcP2Pt7Au (a structure optimized by DFT (GGA-PBE); CuKα).

Crystal structure
```
AcP2Pt7Au
1.0
-2.053 2.053 14.704
2.053 -2.053 14.704
2.053 2.053 -14.704
Ac P Pt Au
1 2 7 1
Cartesian
0.000 0.000 0.000
0.000 0.000 11.098
0.000 0.000 18.310
2.053 0.000 2.404
0.000 0.000 8.956
2.053 0.000 12.301
0.000 0.000 14.704
0.000 2.053 2.407
0.000 0.000 20.453
0.000 2.053 12.297
0.000 2.053 7.352
```

Peak list (8 most intense, 2θ = 15–90°, by angle)
| 2θ (°) | Rel. int. |
| --- | --- |
| 23.49 | 25 |
| 30.41 | 20 |
| 33.18 | 18 |
| 35.96 | 100 |
| 44.12 | 39 |
| 54.52 | 13 |
| 64.17 | 13 |
| 75.80 | 24 |

=====

Entry 6:
Structure and theoretical PXRD pattern of La8PN4 (a structure optimized by DFT (GGA-PBE); CuKα).

Crystal structure
```
La8PN4
1.0
0.000 5.535 5.535
5.535 0.000 5.535
5.535 5.535 0.000
La P N
8 1 4
Cartesian
7.089 3.981 3.981
1.199 1.199 1.199
4.336 4.336 1.199
4.336 1.199 4.336
3.981 7.089 3.981
3.981 3.981 7.089
7.089 7.089 7.089
1.199 4.336 4.336
2.767 2.767 2.767
9.657 6.948 6.948
6.948 9.657 6.948
6.948 6.948 9.657
9.657 9.657 9.657
```

Peak list (8 most intense, 2θ = 15–90°, by angle)
| 2θ (°) | Rel. int. |
| --- | --- |
| 27.92 | 100 |
| 32.35 | 58 |
| 35.34 | 11 |
| 42.43 | 23 |
| 46.40 | 40 |
| 55.03 | 32 |
| 59.65 | 13 |
| 64.68 | 11 |